This entry pairs a crystal structure of Pd2RuS4 with its computed XRD peak list. Radiation: copper Kα. Structure: DFT lattice parameters and positions (GGA-PBE).

Atomic structure:
Cell lengths 6.6790, 6.6790, 6.6790 Å; angles 137.57, 137.57, 61.56 degrees
Fractional coordinates of all 7 atoms:
1 Pd 0.1133 0.1133 0.0000
2 Pd 0.8867 0.8867 0.0000
3 Ru 0.5000 0.5000 0.0000
4 S 0.0000 0.5000 0.5000
5 S 0.3066 0.3066 0.0000
6 S 0.5000 0.0000 0.5000
7 S 0.6934 0.6934 0.0000

Peak list (12 most intense, 5° ≤ 2θ ≤ 70°, sorted by position)
d/Å  Position (°2θ)  I (rel.)
5.738  15.44  40
3.418  26.07  100
3.000  29.78  35
2.417  37.20  76
2.227  40.50  13
2.198  41.07  14
2.073  43.66  63
1.882  48.36  19
1.709  53.63  25
1.574  58.67  51
1.529  60.58  18
1.349  69.70  6